The following is a computed X-ray diffraction stick pattern of TaNbMo4. It was derived from a GGA-PBE-relaxed structure, using Cu Kα.
No peak broadening, texture or thermal motion is included.

Most intense lines, 2θ from 10° to 90°, by intensity:
(0 0 2), 2θ 39.69, intensity 100.0
(3 3 1), 2θ 72.13, intensity 26.8
(2 0 0), 2θ 39.80, intensity 19.9
(2 6 0), 2θ 71.94, intensity 13.4
(2 0 2), 2θ 57.51, intensity 13.2
(2 6 2), 2θ 85.49, intensity 8.7

Structural model:
Unit cell a=4.530 b=9.660 c=4.535 alpha=90.00 beta=90.00 gamma=90.00
Fractional coordinates of all 12 atoms:
Ta  0.000  0.000  0.000
Ta  0.500  0.500  0.000
Nb  0.000  0.500  0.500
Nb  0.500  0.000  0.500
Mo  0.000  0.170  0.500
Mo  0.000  0.329  0.000
Mo  0.000  0.671  0.000
Mo  0.000  0.830  0.500
Mo  0.500  0.171  0.000
Mo  0.500  0.330  0.500
Mo  0.500  0.670  0.500
Mo  0.500  0.829  0.000